# Cs2WClF6
Simulated powder diffraction line list, CuKα. Input: DFT lattice parameters and positions (PBE+U).
Intensities are scaled so that the largest is 100.

Cell and atoms:
```
Cs2WClF6
1.0
5.5557 0.0000 0.0000
2.7151 5.7976 0.0000
2.7427 2.1262 7.6132
Cs W Cl F
2 1 1 6
Direct
0.1998 0.2759 0.3232 Cs
0.8002 0.7241 0.6768 Cs
0.0000 0.0000 0.0000 W
0.5000 0.5000 0.5000 Cl
0.1047 0.0288 0.7458 F
0.1201 0.2592 0.9621 F
0.3501 0.7577 0.0284 F
0.6499 0.2423 0.9716 F
0.8799 0.7408 0.0379 F
0.8953 0.9712 0.2542 F
```

The 10 most intense peaks (2θ = 10–90°), low angle first:
d = 4.926 Å, 2θ 18.01, I 57; d = 4.884 Å, 2θ 18.17, I 53; d = 4.017 Å, 2θ 22.13, I 100; d = 3.799 Å, 2θ 23.42, I 70; d = 3.775 Å, 2θ 23.57, I 65; d = 3.633 Å, 2θ 24.50, I 53; d = 3.357 Å, 2θ 26.55, I 45; d = 3.188 Å, 2θ 27.99, I 65; d = 3.156 Å, 2θ 28.28, I 65; d = 2.778 Å, 2θ 32.23, I 38